HoEr2Lu: simulated powder XRD pattern (Cu Kα (weighted mean of Kα1 and Kα2)), based on a crystal structure in Alexandria, relaxed with PBE.
No peak broadening, texture or thermal motion is included.

Crystal structure
```
HoEr2Lu
1.0
3.489 0.000 0.000
0.000 3.489 0.000
0.000 0.000 9.888
Ho Er Lu
1 2 1
direct
0.000 0.000 0.000
0.500 0.500 0.252
0.500 0.500 0.748
0.000 0.000 0.500
```

The 10 most intense peaks (10° ≤ 2θ ≤ 90°), in order of rising 2θ:
- 2θ = 31.4°, I 100, (1 0 2)
- 2θ = 36.4°, I 51, (1 1 0)
- 2θ = 52.4°, I 36, (2 0 0)
- 2θ = 62.4°, I 43, (2 1 2)
- 2θ = 65.5°, I 12, (2 0 4)
- 2θ = 77.2°, I 2, (0 0 8)
- 2θ = 77.4°, I 4, (2 2 0)
- 2θ = 85.8°, I 18, (3 0 2)
- 2θ = 88.5°, I 6, (1 1 8)
- 2θ = 88.6°, I 11, (3 1 0)